This entry pairs a crystal structure of TaB2Ru4 with its calculated powder X-ray diffraction pattern. Radiation: λ = 1.5418 Å (Cu Kα). Structure: a crystal structure in Alexandria, relaxed with GGA-PBE.
Neutral-atom scattering factors, no anomalous dispersion.

Principal peaks in the range 2θ = 10–90°, by intensity:
| two_theta | Rel. int. |
| --- | --- |
| 40.5 | 1000 |
| 48.8 | 302 |
| 85.6 | 229 |
| 67.4 | 201 |
| 43.4 | 188 |
| 24.9 | 136 |
| 77.7 | 130 |
| 87.6 | 106 |
| 27.9 | 103 |
| 71.6 | 95 |

Atomic structure:
```
data_TaB2Ru4
_space_group_name_H-M_alt 'P 1'
_space_group_IT_number 1
_cell_length_a 6.523
_cell_length_b 6.523
_cell_length_c 3.729
_cell_angle_alpha 90.00
_cell_angle_beta 90.00
_cell_angle_gamma 146.77
loop_
_space_group_symop_operation_xyz
'x,y,z'
loop_
_atom_site_label
_atom_site_fract_x
_atom_site_fract_y
_atom_site_fract_z
Ta1 0.000 0.000 0.000
B1 0.430 0.570 0.500
B2 0.570 0.430 0.500
Ru1 0.171 0.829 0.500
Ru2 0.327 0.673 0.000
Ru3 0.673 0.327 0.000
Ru4 0.829 0.171 0.500
```

=====

This entry pairs a crystal structure of TbB4Ru4 with its calculated powder X-ray diffraction pattern. Radiation: λ = 1.5418 Å (Cu Kα). Structure: a crystal structure in Alexandria, relaxed with GGA-PBE.
Neutral-atom scattering factors, no anomalous dispersion.

Principal peaks in the range 2θ = 10–90°, by intensity:
| two_theta | Rel. int. |
| --- | --- |
| 39.8 | 1000 |
| 32.1 | 599 |
| 39.7 | 428 |
| 40.2 | 365 |
| 33.8 | 287 |
| 64.5 | 266 |
| 70.9 | 255 |
| 23.7 | 219 |
| 54.7 | 129 |
| 43.9 | 114 |

Atomic structure:
```
data_TbB4Ru4
_space_group_name_H-M_alt 'P 1'
_space_group_IT_number 1
_cell_length_a 9.211
_cell_length_b 9.211
_cell_length_c 9.211
_cell_angle_alpha 131.95
_cell_angle_beta 131.95
_cell_angle_gamma 70.31
loop_
_space_group_symop_operation_xyz
'x,y,z'
loop_
_atom_site_label
_atom_site_fract_x
_atom_site_fract_y
_atom_site_fract_z
Tb1 0.125 0.375 0.750
Tb2 0.375 0.125 0.250
Tb3 0.625 0.875 0.750
Tb4 0.875 0.625 0.250
B1 0.066 0.125 0.277
B2 0.125 0.348 0.059
B3 0.152 0.375 0.441
B4 0.211 0.934 0.559
B5 0.289 0.848 0.723
B6 0.348 0.789 0.223
B7 0.375 0.434 0.223
B8 0.434 0.711 0.059
B9 0.566 0.289 0.941
B10 0.625 0.566 0.777
B11 0.652 0.211 0.777
B12 0.711 0.152 0.277
B13 0.789 0.066 0.441
B14 0.848 0.625 0.559
B15 0.875 0.652 0.941
B16 0.934 0.875 0.723
Ru1 0.039 0.821 0.987
Ru2 0.052 0.039 0.718
Ru3 0.165 0.679 0.718
Ru4 0.179 0.665 0.218
Ru5 0.321 0.539 0.487
Ru6 0.335 0.052 0.513
Ru7 0.448 0.165 0.987
Ru8 0.461 0.448 0.782
Ru9 0.539 0.552 0.218
Ru10 0.552 0.835 0.013
Ru11 0.665 0.948 0.487
Ru12 0.679 0.461 0.513
Ru13 0.821 0.335 0.782
Ru14 0.835 0.321 0.282
Ru15 0.948 0.961 0.282
Ru16 0.961 0.179 0.013
```

=====

This entry pairs a crystal structure of TbZn2BRu2 with its calculated powder X-ray diffraction pattern. Radiation: λ = 1.5418 Å (Cu Kα). Structure: a crystal structure in Alexandria, relaxed with GGA-PBE.
Neutral-atom scattering factors, no anomalous dispersion.

Principal peaks in the range 2θ = 10–90°, by intensity:
| two_theta | Rel. int. |
| --- | --- |
| 34.5 | 1000 |
| 43.1 | 500 |
| 39.8 | 433 |
| 60.1 | 250 |
| 73.5 | 217 |
| 26.9 | 217 |
| 62.6 | 160 |
| 60.4 | 122 |
| 85.9 | 120 |
| 33.4 | 107 |

Atomic structure:
```
data_TbZn2BRu2
_space_group_name_H-M_alt 'P 1'
_space_group_IT_number 1
_cell_length_a 4.199
_cell_length_b 4.199
_cell_length_c 5.373
_cell_angle_alpha 90.00
_cell_angle_beta 90.00
_cell_angle_gamma 90.00
loop_
_space_group_symop_operation_xyz
'x,y,z'
loop_
_atom_site_label
_atom_site_fract_x
_atom_site_fract_y
_atom_site_fract_z
Tb1 0.000 0.000 0.000
Zn1 0.500 0.500 0.227
Zn2 0.500 0.500 0.773
B1 0.000 0.000 0.500
Ru1 0.000 0.500 0.500
Ru2 0.500 0.000 0.500
```

=====

This entry pairs a crystal structure of Tc2B2Ru with its calculated powder X-ray diffraction pattern. Radiation: λ = 1.5418 Å (Cu Kα). Structure: a crystal structure in Alexandria, relaxed with GGA-PBE.
Neutral-atom scattering factors, no anomalous dispersion.

Principal peaks in the range 2θ = 10–90°, by intensity:
| two_theta | Rel. int. |
| --- | --- |
| 41.7 | 1000 |
| 44.8 | 848 |
| 35.0 | 644 |
| 35.1 | 507 |
| 50.3 | 466 |
| 37.6 | 321 |
| 44.2 | 239 |
| 44.7 | 231 |
| 21.9 | 223 |
| 76.1 | 210 |

Atomic structure:
```
data_Tc2B2Ru
_space_group_name_H-M_alt 'P 1'
_space_group_IT_number 1
_cell_length_a 5.740
_cell_length_b 5.740
_cell_length_c 6.587
_cell_angle_alpha 90.00
_cell_angle_beta 90.00
_cell_angle_gamma 90.00
loop_
_space_group_symop_operation_xyz
'x,y,z'
loop_
_atom_site_label
_atom_site_fract_x
_atom_site_fract_y
_atom_site_fract_z
Tc1 0.148 0.297 0.000
Tc2 0.203 0.352 0.500
Tc3 0.297 0.852 0.000
Tc4 0.352 0.797 0.500
Tc5 0.648 0.203 0.500
Tc6 0.703 0.148 0.000
Tc7 0.797 0.648 0.500
Tc8 0.852 0.703 0.000
B1 0.113 0.613 0.250
B2 0.113 0.613 0.750
B3 0.387 0.113 0.250
B4 0.387 0.113 0.750
B5 0.613 0.887 0.250
B6 0.613 0.887 0.750
B7 0.887 0.387 0.250
B8 0.887 0.387 0.750
Ru1 0.000 0.000 0.294
Ru2 0.000 0.000 0.706
Ru3 0.500 0.500 0.206
Ru4 0.500 0.500 0.794
```

=====

This entry pairs a crystal structure of Tc3BRu with its calculated powder X-ray diffraction pattern. Radiation: λ = 1.5418 Å (Cu Kα). Structure: a crystal structure in Alexandria, relaxed with GGA-PBE.
Neutral-atom scattering factors, no anomalous dispersion.

Principal peaks in the range 2θ = 10–90°, by intensity:
| two_theta | Rel. int. |
| --- | --- |
| 41.2 | 1000 |
| 41.5 | 810 |
| 39.9 | 667 |
| 41.3 | 534 |
| 36.0 | 474 |
| 40.8 | 421 |
| 79.0 | 326 |
| 64.4 | 283 |
| 55.0 | 255 |
| 73.7 | 228 |

Atomic structure:
```
data_Tc3BRu
_space_group_name_H-M_alt 'P 1'
_space_group_IT_number 1
_cell_length_a 5.358
_cell_length_b 5.358
_cell_length_c 6.716
_cell_angle_alpha 124.07
_cell_angle_beta 124.07
_cell_angle_gamma 64.80
loop_
_space_group_symop_operation_xyz
'x,y,z'
loop_
_atom_site_label
_atom_site_fract_x
_atom_site_fract_y
_atom_site_fract_z
Tc1 0.194 0.194 0.138
Tc2 0.227 0.727 0.685
Tc3 0.273 0.773 0.315
Tc4 0.727 0.227 0.685
Tc5 0.773 0.273 0.315
Tc6 0.806 0.806 0.862
B1 0.250 0.250 0.503
B2 0.750 0.750 0.497
Ru1 0.305 0.305 0.859
Ru2 0.695 0.695 0.141
```

=====

This entry pairs a crystal structure of ThB2Ru3 with its calculated powder X-ray diffraction pattern. Radiation: λ = 1.5418 Å (Cu Kα). Structure: a crystal structure in Alexandria, relaxed with GGA-PBE.
Neutral-atom scattering factors, no anomalous dispersion.

Principal peaks in the range 2θ = 10–90°, by intensity:
| two_theta | Rel. int. |
| --- | --- |
| 37.5 | 1000 |
| 34.5 | 920 |
| 43.9 | 545 |
| 59.0 | 402 |
| 72.7 | 286 |
| 18.5 | 232 |
| 67.6 | 191 |
| 78.1 | 179 |
| 65.7 | 164 |
| 79.9 | 111 |

Atomic structure:
```
data_ThB2Ru3
_space_group_name_H-M_alt 'P 1'
_space_group_IT_number 1
_cell_length_a 5.544
_cell_length_b 5.544
_cell_length_c 3.094
_cell_angle_alpha 90.00
_cell_angle_beta 90.00
_cell_angle_gamma 120.00
loop_
_space_group_symop_operation_xyz
'x,y,z'
loop_
_atom_site_label
_atom_site_fract_x
_atom_site_fract_y
_atom_site_fract_z
Th1 0.000 0.000 0.000
B1 0.333 0.667 0.000
B2 0.667 0.333 0.000
Ru1 0.000 0.500 0.500
Ru2 0.500 0.000 0.500
Ru3 0.500 0.500 0.500
```

=====

This entry pairs a crystal structure of ThB3Ru6 with its calculated powder X-ray diffraction pattern. Radiation: λ = 1.5418 Å (Cu Kα). Structure: a crystal structure in Alexandria, relaxed with GGA-PBE.
Neutral-atom scattering factors, no anomalous dispersion.

Principal peaks in the range 2θ = 10–90°, by intensity:
| two_theta | Rel. int. |
| --- | --- |
| 38.0 | 1000 |
| 37.0 | 533 |
| 29.8 | 380 |
| 39.4 | 362 |
| 34.7 | 322 |
| 48.5 | 298 |
| 48.2 | 292 |
| 35.1 | 287 |
| 44.6 | 179 |
| 67.8 | 179 |

Atomic structure:
```
data_ThB3Ru6
_space_group_name_H-M_alt 'P 1'
_space_group_IT_number 1
_cell_length_a 6.033
_cell_length_b 6.033
_cell_length_c 6.033
_cell_angle_alpha 54.54
_cell_angle_beta 54.54
_cell_angle_gamma 54.54
loop_
_space_group_symop_operation_xyz
'x,y,z'
loop_
_atom_site_label
_atom_site_fract_x
_atom_site_fract_y
_atom_site_fract_z
Th1 0.000 0.000 0.000
B1 0.176 0.176 0.176
B2 0.375 0.375 0.375
B3 0.710 0.710 0.710
Ru1 0.132 0.564 0.700
Ru2 0.433 0.941 0.456
Ru3 0.456 0.433 0.941
Ru4 0.564 0.700 0.132
Ru5 0.700 0.132 0.564
Ru6 0.941 0.456 0.433
```

=====

This entry pairs a crystal structure of TmB4Ru4 with its calculated powder X-ray diffraction pattern. Radiation: λ = 1.5418 Å (Cu Kα). Structure: a crystal structure in Alexandria, relaxed with GGA-PBE.
Neutral-atom scattering factors, no anomalous dispersion.

Principal peaks in the range 2θ = 10–90°, by intensity:
| two_theta | Rel. int. |
| --- | --- |
| 40.0 | 1000 |
| 32.2 | 567 |
| 39.8 | 428 |
| 40.4 | 345 |
| 71.2 | 244 |
| 33.8 | 216 |
| 55.0 | 139 |
| 64.9 | 133 |
| 64.7 | 129 |
| 23.8 | 121 |

Atomic structure:
```
data_TmB4Ru4
_space_group_name_H-M_alt 'P 1'
_space_group_IT_number 1
_cell_length_a 9.183
_cell_length_b 9.183
_cell_length_c 9.183
_cell_angle_alpha 132.01
_cell_angle_beta 132.01
_cell_angle_gamma 70.21
loop_
_space_group_symop_operation_xyz
'x,y,z'
loop_
_atom_site_label
_atom_site_fract_x
_atom_site_fract_y
_atom_site_fract_z
Tm1 0.125 0.375 0.750
Tm2 0.375 0.125 0.250
Tm3 0.625 0.875 0.750
Tm4 0.875 0.625 0.250
B1 0.067 0.125 0.279
B2 0.125 0.346 0.058
B3 0.154 0.375 0.442
B4 0.212 0.933 0.558
B5 0.288 0.846 0.721
B6 0.346 0.788 0.221
B7 0.375 0.433 0.221
B8 0.433 0.712 0.058
B9 0.567 0.288 0.942
B10 0.625 0.567 0.779
B11 0.654 0.212 0.779
B12 0.712 0.154 0.279
B13 0.788 0.067 0.442
B14 0.846 0.625 0.558
B15 0.875 0.654 0.942
B16 0.933 0.875 0.721
Ru1 0.037 0.822 0.985
Ru2 0.052 0.037 0.716
Ru3 0.164 0.678 0.716
Ru4 0.178 0.664 0.216
Ru5 0.322 0.537 0.485
Ru6 0.336 0.052 0.515
Ru7 0.448 0.164 0.985
Ru8 0.463 0.448 0.784
Ru9 0.537 0.552 0.216
Ru10 0.552 0.836 0.015
Ru11 0.664 0.948 0.485
Ru12 0.678 0.463 0.515
Ru13 0.822 0.336 0.784
Ru14 0.836 0.322 0.284
Ru15 0.948 0.963 0.284
Ru16 0.963 0.178 0.015
```

=====

This entry pairs a crystal structure of TmB2Ru with its calculated powder X-ray diffraction pattern. Radiation: λ = 1.5418 Å (Cu Kα). Structure: a crystal structure in Alexandria, relaxed with GGA-PBE.
Neutral-atom scattering factors, no anomalous dispersion.

Principal peaks in the range 2θ = 10–90°, by intensity:
| two_theta | Rel. int. |
| --- | --- |
| 37.9 | 1000 |
| 36.5 | 870 |
| 34.0 | 555 |
| 63.4 | 389 |
| 28.2 | 226 |
| 75.5 | 217 |
| 44.7 | 176 |
| 62.4 | 170 |
| 20.7 | 163 |
| 65.1 | 152 |

Atomic structure:
```
data_TmB2Ru
_space_group_name_H-M_alt 'P 1'
_space_group_IT_number 1
_cell_length_a 5.859
_cell_length_b 5.279
_cell_length_c 6.322
_cell_angle_alpha 90.00
_cell_angle_beta 90.00
_cell_angle_gamma 90.00
loop_
_space_group_symop_operation_xyz
'x,y,z'
loop_
_atom_site_label
_atom_site_fract_x
_atom_site_fract_y
_atom_site_fract_z
Tm1 0.011 0.250 0.165
Tm2 0.489 0.750 0.665
Tm3 0.511 0.250 0.335
Tm4 0.989 0.750 0.835
B1 0.133 0.584 0.463
B2 0.133 0.916 0.463
B3 0.367 0.084 0.963
B4 0.367 0.416 0.963
B5 0.633 0.584 0.037
B6 0.633 0.916 0.037
B7 0.867 0.084 0.537
B8 0.867 0.416 0.537
Ru1 0.182 0.250 0.682
Ru2 0.318 0.750 0.182
Ru3 0.682 0.250 0.818
Ru4 0.818 0.750 0.318
```

=====

This entry pairs a crystal structure of Tm2B6Ru with its calculated powder X-ray diffraction pattern. Radiation: λ = 1.5418 Å (Cu Kα). Structure: a crystal structure in Alexandria, relaxed with GGA-PBE.
Neutral-atom scattering factors, no anomalous dispersion.

Principal peaks in the range 2θ = 10–90°, by intensity:
| two_theta | Rel. int. |
| --- | --- |
| 24.6 | 1000 |
| 39.7 | 922 |
| 30.6 | 752 |
| 42.0 | 355 |
| 40.2 | 329 |
| 41.5 | 317 |
| 60.2 | 308 |
| 33.5 | 275 |
| 31.3 | 268 |
| 32.8 | 248 |

Atomic structure:
```
data_Tm2B6Ru
_space_group_name_H-M_alt 'P 1'
_space_group_IT_number 1
_cell_length_a 9.069
_cell_length_b 11.435
_cell_length_c 3.619
_cell_angle_alpha 90.00
_cell_angle_beta 90.00
_cell_angle_gamma 90.00
loop_
_space_group_symop_operation_xyz
'x,y,z'
loop_
_atom_site_label
_atom_site_fract_x
_atom_site_fract_y
_atom_site_fract_z
Tm1 0.056 0.127 0.000
Tm2 0.179 0.414 0.000
Tm3 0.321 0.914 0.000
Tm4 0.444 0.627 0.000
Tm5 0.556 0.373 0.000
Tm6 0.679 0.086 0.000
Tm7 0.821 0.586 0.000
Tm8 0.944 0.873 0.000
B1 0.018 0.287 0.500
B2 0.053 0.567 0.500
B3 0.108 0.970 0.500
B4 0.131 0.815 0.500
B5 0.209 0.234 0.500
B6 0.248 0.580 0.500
B7 0.252 0.080 0.500
B8 0.291 0.734 0.500
B9 0.369 0.315 0.500
B10 0.392 0.470 0.500
B11 0.447 0.067 0.500
B12 0.482 0.787 0.500
B13 0.518 0.213 0.500
B14 0.553 0.933 0.500
B15 0.608 0.530 0.500
B16 0.631 0.685 0.500
B17 0.709 0.266 0.500
B18 0.748 0.920 0.500
B19 0.752 0.420 0.500
B20 0.791 0.766 0.500
B21 0.869 0.185 0.500
B22 0.892 0.030 0.500
B23 0.947 0.433 0.500
B24 0.982 0.713 0.500
Ru1 0.138 0.679 0.000
Ru2 0.362 0.179 0.000
Ru3 0.638 0.821 0.000
Ru4 0.862 0.321 0.000
```

=====

This entry pairs a crystal structure of UB4Ru with its calculated powder X-ray diffraction pattern. Radiation: λ = 1.5418 Å (Cu Kα). Structure: a crystal structure in Alexandria, relaxed with GGA-PBE.
Neutral-atom scattering factors, no anomalous dispersion.

Principal peaks in the range 2θ = 10–90°, by intensity:
| two_theta | Rel. int. |
| --- | --- |
| 40.4 | 1000 |
| 31.0 | 862 |
| 25.2 | 751 |
| 61.6 | 271 |
| 37.7 | 260 |
| 27.6 | 242 |
| 46.3 | 219 |
| 51.8 | 217 |
| 43.2 | 213 |
| 34.5 | 166 |

Atomic structure:
```
data_UB4Ru
_space_group_name_H-M_alt 'P 1'
_space_group_IT_number 1
_cell_length_a 5.962
_cell_length_b 11.555
_cell_length_c 3.531
_cell_angle_alpha 90.00
_cell_angle_beta 90.00
_cell_angle_gamma 90.00
loop_
_space_group_symop_operation_xyz
'x,y,z'
loop_
_atom_site_label
_atom_site_fract_x
_atom_site_fract_y
_atom_site_fract_z
U1 0.127 0.150 0.000
U2 0.373 0.650 0.000
U3 0.627 0.350 0.000
U4 0.873 0.850 0.000
B1 0.028 0.693 0.500
B2 0.115 0.547 0.500
B3 0.132 0.967 0.500
B4 0.212 0.811 0.500
B5 0.288 0.311 0.500
B6 0.368 0.467 0.500
B7 0.385 0.047 0.500
B8 0.472 0.193 0.500
B9 0.528 0.807 0.500
B10 0.615 0.953 0.500
B11 0.632 0.533 0.500
B12 0.712 0.689 0.500
B13 0.788 0.189 0.500
B14 0.868 0.033 0.500
B15 0.885 0.453 0.500
B16 0.972 0.307 0.500
Ru1 0.140 0.407 0.000
Ru2 0.360 0.907 0.000
Ru3 0.640 0.093 0.000
Ru4 0.860 0.593 0.000
```